This entry pairs a crystal structure of CeCdGa2 with its simulated powder diffractogram. Radiation: copper Kα. Structure: a GGA-PBE-relaxed structure.
No peak broadening, texture or thermal motion is included.

Cell and atoms:
a b c (Å): 4.5658 4.5658 4.2547
angles (deg): 90.00 90.00 90.00
Space group P4/mmm (No. 123)
One atom of each set of equivalent atoms:
Ce  0.0000  0.0000  0.0000 x1
Cd  0.5000  0.5000  0.0000 x1
Ga  0.0000  0.5000  0.5000 x2

Largest 6 diffraction maxima, sorted by position, 2θ from 5° to 70°:
- d 2.572, rel. 100, (1 1 1)
- d 2.283, rel. 35, (2 0 0)
- d 2.127, rel. 14, (0 0 2)
- d 1.614, rel. 12, (2 2 0)
- d 1.556, rel. 21, (2 0 2)
- d 1.367, rel. 27, (3 1 1)